(1)
The following is a computed X-ray powder pattern of Na2P2H12O11F2. It was derived from a cell relaxed with GGA-PBE, using Cu Kα (λ = 1.5418 Å).
Neutral-atom scattering factors, no anomalous dispersion.

```
data_Na2P2H12O11F2
_chemical_formula_sum 'Na4 P4 H24 O22 F4'
_space_group_name_H-M_alt 'P 1'
_space_group_IT_number 1
_cell_length_a 5.390
_cell_length_b 9.990
_cell_length_c 12.786
_cell_angle_alpha 71.04
_cell_angle_beta 89.99
_cell_angle_gamma 74.55
loop_
_space_group_symop_operation_xyz
'x,y,z'
loop_
_atom_site_label
_atom_site_fract_x
_atom_site_fract_y
_atom_site_fract_z
Na1 0.000 0.000 0.000
Na2 0.036 0.913 0.261
Na3 0.160 0.999 0.501
Na4 0.203 0.914 0.758
P1 0.097 0.283 0.099
P2 0.102 0.631 0.659
P3 0.424 0.633 0.158
P4 0.777 0.282 0.599
H1 0.095 0.730 0.965
H2 0.113 0.182 0.793
H3 0.231 0.259 0.330
H4 0.335 0.732 0.468
H5 0.357 0.258 0.441
H6 0.369 0.421 0.066
H7 0.369 0.422 0.566
H8 0.383 0.117 0.864
H9 0.523 0.039 0.121
H10 0.535 0.653 0.929
H11 0.542 0.792 0.395
H12 0.556 0.254 0.942
H13 0.598 0.034 0.627
H14 0.611 0.876 0.133
H15 0.649 0.660 0.814
H16 0.661 0.117 0.367
H17 0.674 0.258 0.827
H18 0.674 0.873 0.636
H19 0.824 0.796 0.894
H20 0.831 0.492 0.690
H21 0.833 0.497 0.191
H22 0.841 0.659 0.315
H23 0.865 0.178 0.294
H24 0.971 0.649 0.429
O1 0.067 0.790 0.645
O2 0.131 0.124 0.113
O3 0.206 0.579 0.564
O4 0.229 0.090 0.845
O5 0.299 0.791 0.147
O6 0.342 0.195 0.398
O7 0.358 0.322 0.062
O8 0.363 0.822 0.416
O9 0.374 0.581 0.062
O10 0.478 0.323 0.562
O11 0.520 0.954 0.632
O12 0.577 0.720 0.861
O13 0.627 0.193 0.896
O14 0.682 0.958 0.128
O15 0.723 0.595 0.195
O16 0.829 0.334 0.694
O17 0.841 0.087 0.347
O18 0.843 0.591 0.696
O19 0.857 0.717 0.362
O20 0.900 0.124 0.611
O21 0.978 0.823 0.914
O22 0.997 0.335 0.194
F1 0.304 0.533 0.765
F2 0.324 0.532 0.264
F3 0.877 0.383 0.493
F4 0.896 0.383 0.992
```

Peak list (10 most intense, 2θ from 10° to 90°, in order of rising 2θ)
14.72 deg, I = 96.0, (0 0 2)
17.16 deg, I = 79.0, (1 1 0)
20.28 deg, I = 69.3, (0 1 -2)
21.62 deg, I = 60.9, (-1 1 1)
21.70 deg, I = 50.0, (1 2 1)
23.69 deg, I = 39.0, (-1 1 2)
24.86 deg, I = 100.0, (1 2 -1)
26.79 deg, I = 84.2, (1 1 3)
28.23 deg, I = 75.0, (0 3 2)
29.58 deg, I = 58.5, (0 2 4)

---

(2)
The following is a computed X-ray powder pattern of NaSnPHO4F. It was derived from a cell relaxed with GGA-PBE, using Cu Kα (λ = 1.5418 Å).
Neutral-atom scattering factors, no anomalous dispersion.

```
data_NaSnPHO4F
_chemical_formula_sum 'Na4 Sn4 P4 H4 O16 F4'
_space_group_name_H-M_alt 'P n m a'
_space_group_IT_number 62
_cell_length_a 4.971
_cell_length_b 5.319
_cell_length_c 19.364
_cell_angle_alpha 90.00
_cell_angle_beta 90.00
_cell_angle_gamma 90.00
loop_
_space_group_symop_operation_xyz
'x,y,z'
'-x,-y,-z'
'-x+1/2,-y,z+1/2'
'x+1/2,y,-z+1/2'
'x+1/2,-y+1/2,-z+1/2'
'-x+1/2,y+1/2,z+1/2'
'-x,y+1/2,-z'
'x,-y+1/2,z'
loop_
_atom_site_label
_atom_site_fract_x
_atom_site_fract_y
_atom_site_fract_z
Na1 0.247 0.250 0.009
Sn1 0.205 0.750 0.138
P1 0.224 0.750 0.873
H1 0.205 0.250 0.261
O1 0.029 0.750 0.623
O2 0.092 0.513 0.905
O3 0.135 0.750 0.791
F1 0.170 0.250 0.536
```

Peak list (10 most intense, 2θ from 10° to 90°, in order of rising 2θ)
18.33 deg, I = 80.7, (0 0 4)
20.08 deg, I = 27.5, (1 0 2)
24.94 deg, I = 58.3, (1 1 1)
28.19 deg, I = 100.0, (1 1 3)
33.70 deg, I = 31.0, (0 2 0)
37.14 deg, I = 14.4, (0 0 8)
39.54 deg, I = 24.1, (1 2 2)
41.01 deg, I = 20.1, (1 1 7)
50.24 deg, I = 13.8, (2 2 0)
58.24 deg, I = 19.4, (1 1 11)

---

(3)
The following is a computed X-ray powder pattern of NaSnPHO4F. It was derived from a cell relaxed with GGA-PBE, using Cu Kα (λ = 1.5418 Å).
Neutral-atom scattering factors, no anomalous dispersion.

```
data_NaSnPHO4F
_chemical_formula_sum 'Na4 Sn4 P4 H4 O16 F4'
_space_group_name_H-M_alt 'P n m a'
_space_group_IT_number 62
_cell_length_a 4.870
_cell_length_b 5.325
_cell_length_c 19.139
_cell_angle_alpha 90.00
_cell_angle_beta 90.00
_cell_angle_gamma 90.00
loop_
_space_group_symop_operation_xyz
'x,y,z'
'-x,-y,-z'
'-x+1/2,-y,z+1/2'
'x+1/2,y,-z+1/2'
'x+1/2,-y+1/2,-z+1/2'
'-x+1/2,y+1/2,z+1/2'
'-x,y+1/2,-z'
'x,-y+1/2,z'
loop_
_atom_site_label
_atom_site_fract_x
_atom_site_fract_y
_atom_site_fract_z
Na1 0.230 0.250 0.009
Sn1 0.227 0.750 0.138
P1 0.207 0.750 0.872
H1 0.078 0.250 0.221
O1 0.018 0.750 0.625
O2 0.078 0.513 0.906
O3 0.121 0.750 0.790
F1 0.151 0.250 0.535
```

Peak list (10 most intense, 2θ from 10° to 90°, in order of rising 2θ)
18.54 deg, I = 70.5, (0 0 4)
20.46 deg, I = 31.6, (1 0 2)
25.22 deg, I = 57.8, (1 1 1)
28.51 deg, I = 100.0, (1 1 3)
33.65 deg, I = 36.7, (0 2 0)
39.71 deg, I = 24.8, (1 2 2)
41.50 deg, I = 20.4, (1 1 7)
50.81 deg, I = 14.6, (2 2 0)
51.33 deg, I = 14.1, (0 2 8)
58.98 deg, I = 22.0, (1 1 11)

---

(4)
The following is a computed X-ray powder pattern of Na2TeHSO5F3. It was derived from a cell relaxed with GGA-PBE, using Cu Kα (λ = 1.5418 Å).
Neutral-atom scattering factors, no anomalous dispersion.

```
data_Na2TeHSO5F3
_chemical_formula_sum 'Na8 Te4 H4 S4 O20 F12'
_space_group_name_H-M_alt 'P 1 21/c 1'
_space_group_IT_number 14
_cell_length_a 8.376
_cell_length_b 7.572
_cell_length_c 10.909
_cell_angle_alpha 90.00
_cell_angle_beta 90.32
_cell_angle_gamma 90.00
loop_
_space_group_symop_operation_xyz
'x,y,z'
'-x,-y,-z'
'-x,y+1/2,-z+1/2'
'x,-y+1/2,z+1/2'
loop_
_atom_site_label
_atom_site_fract_x
_atom_site_fract_y
_atom_site_fract_z
Na1 0.056 0.000 0.259
Na2 0.247 0.232 0.528
Te1 0.416 0.535 0.285
H1 0.430 0.647 0.566
S1 0.142 0.738 0.988
O1 0.014 0.705 0.402
O2 0.093 0.747 0.617
O3 0.193 0.556 0.958
O4 0.285 0.635 0.471
O5 0.460 0.160 0.893
F1 0.210 0.095 0.764
F2 0.343 0.072 0.195
F3 0.473 0.102 0.639
```

Peak list (10 most intense, 2θ from 10° to 90°, in order of rising 2θ)
10.56 deg, I = 62.6, (1 0 0)
17.74 deg, I = 65.3, (1 1 -1)
19.47 deg, I = 56.1, (1 0 2)
25.63 deg, I = 75.8, (2 1 -1)
25.83 deg, I = 50.4, (1 2 0)
26.91 deg, I = 27.4, (2 0 2)
28.70 deg, I = 100.0, (0 2 2)
29.22 deg, I = 32.2, (1 1 -3)
35.27 deg, I = 27.7, (3 1 1)
45.73 deg, I = 33.3, (4 1 1)

---

(5)
The following is a computed X-ray powder pattern of NaTeH6O6F. It was derived from a cell relaxed with GGA-PBE, using Cu Kα (λ = 1.5418 Å).
Neutral-atom scattering factors, no anomalous dispersion.

```
data_NaTeH6O6F
_chemical_formula_sum 'Na3 Te3 H18 O18 F3'
_space_group_name_H-M_alt 'R 3'
_space_group_IT_number 146
_space_group_name_Hall 'R 3'
_cell_length_a 6.1034
_cell_length_b 6.1034
_cell_length_c 13.4756
_cell_angle_alpha 90.00
_cell_angle_beta 90.00
_cell_angle_gamma 120.00
loop_
_atom_site_label
_atom_site_fract_x
_atom_site_fract_y
_atom_site_fract_z
Na1 0.0000 0.0000 0.0000
Te1 0.0000 0.0000 0.3734
H1 0.0204 0.5409 0.9006
H2 0.1136 0.4082 0.4638
O1 0.0170 0.7418 0.2945
O2 0.0965 0.3797 0.1220
F1 0.0000 0.0000 0.8201
```

Peak list (10 most intense, 2θ from 10° to 90°, in order of rising 2θ)
18.03 deg, I = 92.6, (1 0 1)
19.76 deg, I = 31.0, (0 0 3)
21.37 deg, I = 100.0, (0 1 2)
29.27 deg, I = 32.5, (1 1 0)
35.56 deg, I = 53.8, (2 -1 3)
36.52 deg, I = 24.0, (2 0 2)
47.47 deg, I = 17.4, (3 -2 2)
48.23 deg, I = 17.1, (2 0 5)
50.45 deg, I = 26.3, (2 -1 6)
57.42 deg, I = 19.2, (3 -2 5)

---

(6)
The following is a computed X-ray powder pattern of Np3HF12. It was derived from a cell relaxed with GGA-PBE, using Cu Kα (λ = 1.5418 Å).
Neutral-atom scattering factors, no anomalous dispersion.

```
data_Np3HF12
_chemical_formula_sum 'Np12 H4 F48'
_space_group_name_H-M_alt 'C 1 m 1'
_space_group_IT_number 8
_cell_length_a 12.073
_cell_length_b 11.771
_cell_length_c 8.584
_cell_angle_alpha 90.00
_cell_angle_beta 129.20
_cell_angle_gamma 90.00
loop_
_space_group_symop_operation_xyz
'x,y,z'
'x,-y,z'
'x+1/2,y+1/2,z'
'x+1/2,-y+1/2,z'
loop_
_atom_site_label
_atom_site_fract_x
_atom_site_fract_y
_atom_site_fract_z
Np1 0.000 0.000 0.000
Np2 0.124 0.500 0.327
Np3 0.257 0.174 0.870
Np4 0.391 0.187 0.480
H1 0.189 0.500 0.074
H2 0.467 0.500 0.207
F1 0.049 0.170 0.548
F2 0.052 0.380 0.444
F3 0.072 0.107 0.864
F4 0.101 0.325 0.793
F5 0.170 0.113 0.255
F6 0.234 0.000 0.733
F7 0.269 0.355 0.384
F8 0.303 0.500 0.660
F9 0.319 0.230 0.168
F10 0.321 0.196 0.666
F11 0.328 0.000 0.089
F12 0.376 0.350 0.953
F13 0.410 0.000 0.546
F14 0.491 0.122 0.064
```

Peak list (10 most intense, 2θ from 10° to 90°, in order of rising 2θ)
12.81 deg, I = 64.3, (1 1 -1)
20.80 deg, I = 97.7, (2 0 -2)
21.13 deg, I = 96.7, (2 2 -1)
22.05 deg, I = 78.6, (1 1 1)
24.30 deg, I = 60.8, (2 2 0)
24.60 deg, I = 100.0, (1 3 0)
24.96 deg, I = 59.1, (3 1 -2)
31.78 deg, I = 77.3, (1 3 -2)
45.20 deg, I = 53.6, (6 0 -3)
45.48 deg, I = 69.3, (3 3 1)